For Li3V2Si2O10, a structure optimized by DFT (GGA+U) gives the theoretical powder diffraction line list in this record (Cu Kα).

Main lines, low angle first (2θ from 10° to 90°):
2θ/deg	I_rel	hkl
19.3	25	0 1 0
21.5	97	1 0 2
21.8	80	1 1 0
23.8	17	1 1 1
27.6	45	2 0 2
34.0	100	2 1 2
37.1	22	3 1 1
41.8	20	1 2 1
46.6	20	3 1 3
57.0	25	4 0 4

Structural model:
Cell lengths 8.9791, 4.5880, 9.2946 Å; angles 90.00, 90.00, 90.00 degrees
Positions (direct):
Li 0.0000 0.1160 0.0000
Li 0.0000 0.8840 0.5000
Li 0.2600 0.4912 0.0020
Li 0.2600 0.5088 0.5020
Li 0.7400 0.4912 0.0020
Li 0.7400 0.5088 0.5020
V 0.0000 0.4531 0.7135
V 0.0000 0.5469 0.2135
V 0.5000 0.0697 0.5077
V 0.5000 0.9303 0.0077
Si 0.2507 0.0047 0.2562
Si 0.2507 0.9953 0.7562
Si 0.7493 0.0047 0.2562
Si 0.7493 0.9953 0.7562
O 0.0000 0.3006 0.5491
O 0.0000 0.6994 0.0491
O 0.1464 0.2401 0.8390
O 0.1464 0.7599 0.3390
O 0.1510 0.2459 0.1684
O 0.1510 0.7541 0.6684
O 0.3522 0.1828 0.3733
O 0.3522 0.8172 0.8733
O 0.3539 0.1786 0.6419
O 0.3539 0.8214 0.1419
O 0.5000 0.2879 0.0060
O 0.5000 0.7121 0.5060
O 0.6461 0.1786 0.6419
O 0.6461 0.8214 0.1419
O 0.6478 0.1828 0.3733
O 0.6478 0.8172 0.8733
O 0.8490 0.2459 0.1684
O 0.8490 0.7541 0.6684
O 0.8536 0.2401 0.8390
O 0.8536 0.7599 0.3390